The following is a calculated XRD peak list of Ba2Fe2CuF14. It was derived from the PBE+U geometry in Alexandria, using a wavelength of 1.5418 Å.
Neutral-atom scattering factors, no anomalous dispersion.

Peak list (10 most intense, 10° ≤ 2θ ≤ 90°, low angle first)
2θ/deg, I (rel.)
17.17, 27
21.17, 56
24.18, 32
24.81, 100
27.27, 53
28.54, 25
29.57, 44
32.26, 30
40.75, 61
52.04, 21

Crystal structure
Unit cell a=7.590 b=7.590 c=14.740 alpha=92.40 beta=92.40 gamma=42.89
Fractional positions:
Ba1 0.159 0.226 0.128
Ba2 0.226 0.159 0.628
Ba3 0.774 0.841 0.372
Ba4 0.841 0.774 0.872
Fe1 0.108 0.120 0.372
Fe2 0.120 0.108 0.872
Fe3 0.880 0.892 0.128
Fe4 0.892 0.880 0.628
Cu1 0.500 0.500 0.000
Cu2 0.500 0.500 0.500
F1 0.011 0.018 0.658
F2 0.018 0.011 0.158
F3 0.056 0.620 0.212
F4 0.098 0.581 0.701
F5 0.148 0.679 0.525
F6 0.182 0.633 0.037
F7 0.224 0.247 0.941
F8 0.247 0.224 0.441
F9 0.321 0.852 0.975
F10 0.367 0.818 0.463
F11 0.380 0.944 0.288
F12 0.419 0.902 0.799
F13 0.427 0.460 0.890
F14 0.460 0.427 0.390
F15 0.540 0.573 0.610
F16 0.573 0.540 0.110
F17 0.581 0.098 0.201
F18 0.620 0.056 0.712
F19 0.633 0.182 0.537
F20 0.679 0.148 0.025
F21 0.753 0.776 0.559
F22 0.776 0.753 0.059
F23 0.818 0.367 0.963
F24 0.852 0.321 0.475
F25 0.902 0.419 0.299
F26 0.944 0.380 0.788
F27 0.982 0.989 0.842
F28 0.989 0.982 0.342